# 1
Structure and computed XRD peak list of ZnHg3 (a GGA-PBE-relaxed structure; Cu Ka).
Neutral-atom scattering factors, no anomalous dispersion.

Crystal structure
abc: 5.2446 5.2446 5.2446
angles: 60.00 60.00 60.00
Atoms (fractional coordinates):
Zn 0.0000 0.0000 0.0000
Hg 0.2500 0.2500 0.2500
Hg 0.5000 0.5000 0.5000
Hg 0.7500 0.7500 0.7500

The 10 most intense peaks (10 to 90 degrees two-theta), in order of falling intensity:
2theta  I_rel
34.19  100.0
61.22  37.9
49.13  18.2
82.20  16.9
72.03  11.8
20.74  8.1
40.33  4.7
24.00  4.3
53.88  2.1
55.40  2.0

=====

# 2
Structure and computed XRD peak list of AgSbPbS3 (a GGA-PBE-relaxed structure; Cu Ka).
Neutral-atom scattering factors, no anomalous dispersion.

Crystal structure
abc: 6.0708 12.9021 7.6979
angles: 90.00 91.02 90.00
Atoms (fractional coordinates):
Ag 0.2180 0.2395 0.3772
Ag 0.2180 0.2605 0.8772
Ag 0.7820 0.7395 0.1228
Ag 0.7820 0.7605 0.6228
Sb 0.2671 0.5893 0.8636
Sb 0.2671 0.9107 0.3636
Sb 0.7329 0.0893 0.6364
Sb 0.7329 0.4107 0.1364
Pb 0.2557 0.5846 0.3532
Pb 0.2557 0.9154 0.8532
Pb 0.7443 0.0846 0.1468
Pb 0.7443 0.4154 0.6468
S 0.1330 0.1262 0.6375
S 0.1330 0.3738 0.1375
S 0.2651 0.0573 0.1495
S 0.2651 0.4427 0.6495
S 0.3513 0.7215 0.6384
S 0.3513 0.7785 0.1384
S 0.6487 0.2215 0.8616
S 0.6487 0.2785 0.3616
S 0.7349 0.5573 0.3505
S 0.7349 0.9427 0.8505
S 0.8670 0.6262 0.8625
S 0.8670 0.8738 0.3625

The 10 most intense peaks (10 to 90 degrees two-theta), in order of falling intensity:
2theta  I_rel
31.19  100.0
25.38  84.8
29.43  50.7
27.67  33.4
43.71  32.9
43.11  31.7
27.22  31.1
42.02  18.1
52.13  17.5
49.81  17.2

=====

# 3
Structure and computed XRD peak list of PuPd3 (a GGA-PBE-relaxed structure; Cu Ka).
Neutral-atom scattering factors, no anomalous dispersion.

Crystal structure
abc: 4.1538 4.1538 4.1538
angles: 90.00 90.00 90.00
Atoms (fractional coordinates):
Pu 0.0000 0.0000 0.0000
Pd 0.0000 0.5000 0.5000
Pd 0.5000 0.0000 0.5000
Pd 0.5000 0.5000 0.0000

The 10 most intense peaks (10 to 90 degrees two-theta), in order of falling intensity:
2theta  I_rel
37.50  100.0
43.58  49.2
75.98  38.1
63.33  32.4
21.39  14.7
30.43  12.8
80.02  11.1
49.04  7.5
54.08  5.7
67.67  3.8

=====

# 4
Structure and computed XRD peak list of Mg14NiSn (a GGA-PBE-relaxed structure; Cu Ka).
Neutral-atom scattering factors, no anomalous dispersion.

Crystal structure
abc: 6.2358 6.2358 10.2954
angles: 90.00 90.00 120.00
Atoms (fractional coordinates):
Mg 0.0000 0.0000 0.2489
Mg 0.0000 0.0000 0.7511
Mg 0.0100 0.5050 0.2335
Mg 0.0100 0.5050 0.7665
Mg 0.3279 0.1639 0.0000
Mg 0.3337 0.1668 0.5000
Mg 0.4950 0.5050 0.2335
Mg 0.4950 0.5050 0.7665
Mg 0.4950 0.9900 0.2335
Mg 0.4950 0.9900 0.7665
Mg 0.8332 0.1668 0.5000
Mg 0.8332 0.6663 0.5000
Mg 0.8361 0.1639 0.0000
Mg 0.8361 0.6721 0.0000
Ni 0.3333 0.6667 0.0000
Sn 0.3333 0.6667 0.5000

The 10 most intense peaks (10 to 90 degrees two-theta), in order of falling intensity:
2theta  I_rel
37.62  100.0
16.41  33.3
33.18  27.7
34.86  26.0
23.88  23.9
64.32  18.9
70.64  18.5
48.89  18.1
59.27  16.7
72.36  13.6

=====

# 5
Structure and computed XRD peak list of HoAgSe2 (a GGA-PBE-relaxed structure; Cu Ka).
Neutral-atom scattering factors, no anomalous dispersion.

Crystal structure
abc: 4.0899 4.0899 5.7069
angles: 90.00 90.00 90.00
Atoms (fractional coordinates):
Ho 0.0000 0.0000 0.0000
Ag 0.5000 0.5000 0.5000
Se 0.0000 0.0000 0.5000
Se 0.5000 0.5000 0.0000

The 10 most intense peaks (10 to 90 degrees two-theta), in order of falling intensity:
2theta  I_rel
30.92  100.0
44.61  71.9
31.35  48.2
55.27  37.7
44.29  36.7
81.76  24.3
26.82  20.1
73.18  16.2
73.41  16.1
74.10  15.7

=====

# 6
Structure and computed XRD peak list of Ti2CrTe4 (a GGA-PBE-relaxed structure; Cu Ka).
Neutral-atom scattering factors, no anomalous dispersion.

Crystal structure
abc: 7.4558 7.4558 6.8950
angles: 116.12 116.12 29.82
Atoms (fractional coordinates):
Ti 0.2469 0.2469 0.2011
Ti 0.7531 0.7531 0.7989
Cr 0.5000 0.5000 0.5000
Te 0.1355 0.1355 0.4690
Te 0.3931 0.3931 0.0531
Te 0.6069 0.6069 0.9469
Te 0.8645 0.8645 0.5310

The 10 most intense peaks (10 to 90 degrees two-theta), in order of falling intensity:
2theta  I_rel
29.92  100.0
30.24  59.3
29.74  51.0
46.05  50.9
29.10  39.6
39.12  39.3
37.79  28.6
38.61  27.3
27.82  26.8
47.40  26.1

=====

# 7
Structure and computed XRD peak list of LaHO2 (a GGA-PBE-relaxed structure; Cu Ka).
Neutral-atom scattering factors, no anomalous dispersion.

Crystal structure
abc: 4.4942 3.9402 6.4409
angles: 90.00 107.68 90.00
Atoms (fractional coordinates):
La 0.1686 0.2500 0.3074
La 0.8314 0.7500 0.6926
H 0.4774 0.7500 0.0795
H 0.5226 0.2500 0.9205
O 0.2540 0.7500 0.0630
O 0.2618 0.7500 0.5428
O 0.7382 0.2500 0.4572
O 0.7460 0.2500 0.9370

The 10 most intense peaks (10 to 90 degrees two-theta), in order of falling intensity:
2theta  I_rel
26.89  100.0
28.82  51.1
31.29  47.5
21.40  45.1
37.14  33.9
47.36  32.9
30.84  32.0
14.43  30.8
30.25  28.5
49.63  26.4

=====

# 8
Structure and computed XRD peak list of Ba3CoN3 (a GGA-PBE-relaxed structure; Cu Ka).
Neutral-atom scattering factors, no anomalous dispersion.

Crystal structure
abc: 8.1085 8.1085 5.6325
angles: 90.00 90.00 120.00
Atoms (fractional coordinates):
Ba 0.0812 0.3638 0.2500
Ba 0.2825 0.9188 0.2500
Ba 0.3638 0.2825 0.7500
Ba 0.6362 0.7175 0.2500
Ba 0.7175 0.0812 0.7500
Ba 0.9188 0.6362 0.7500
Co 0.3333 0.6667 0.7500
Co 0.6667 0.3333 0.2500
N 0.1277 0.4409 0.7500
N 0.3132 0.8723 0.7500
N 0.4409 0.3132 0.2500
N 0.5591 0.6868 0.7500
N 0.6868 0.1277 0.2500
N 0.8723 0.5591 0.2500

The 10 most intense peaks (10 to 90 degrees two-theta), in order of falling intensity:
2theta  I_rel
27.10  100.0
29.99  64.3
33.77  45.4
31.77  43.1
47.05  34.2
59.70  21.6
38.46  19.2
49.52  17.3
50.71  17.0
21.92  15.4

=====

# 9
Structure and computed XRD peak list of Fe7Ge4 (a GGA-PBE-relaxed structure; Cu Ka).
Neutral-atom scattering factors, no anomalous dispersion.

Crystal structure
abc: 8.0630 8.0630 4.9675
angles: 90.00 90.00 120.00
Atoms (fractional coordinates):
Fe 0.0000 0.0000 0.0000
Fe 0.0000 0.0000 0.5000
Fe 0.0000 0.5000 0.0000
Fe 0.0000 0.5000 0.5000
Fe 0.1594 0.3189 0.2500
Fe 0.1594 0.8406 0.2500
Fe 0.3189 0.1594 0.7500
Fe 0.5000 0.0000 0.0000
Fe 0.5000 0.0000 0.5000
Fe 0.5000 0.5000 0.0000
Fe 0.5000 0.5000 0.5000
Fe 0.6811 0.8406 0.2500
Fe 0.8406 0.1594 0.7500
Fe 0.8406 0.6811 0.7500
Ge 0.1898 0.3797 0.7500
Ge 0.1898 0.8102 0.7500
Ge 0.3333 0.6667 0.2500
Ge 0.3797 0.1898 0.2500
Ge 0.6203 0.8102 0.7500
Ge 0.6667 0.3333 0.7500
Ge 0.8102 0.1898 0.2500
Ge 0.8102 0.6203 0.2500

The 10 most intense peaks (10 to 90 degrees two-theta), in order of falling intensity:
2theta  I_rel
44.78  100.0
44.97  97.8
65.34  24.7
82.83  24.3
38.64  18.6
42.91  12.4
82.97  10.5
31.32  10.4
36.17  8.4
76.75  7.2

=====

# 10
Structure and computed XRD peak list of K3PS4O (a GGA-PBE-relaxed structure; Cu Ka).
Neutral-atom scattering factors, no anomalous dispersion.

Crystal structure
abc: 11.8088 12.0318 7.1297
angles: 90.00 90.00 90.00
Atoms (fractional coordinates):
K 0.0131 0.1737 0.2625
K 0.1446 0.6071 0.8390
K 0.1918 0.9482 0.6335
K 0.3082 0.4482 0.3665
K 0.3554 0.1071 0.1610
K 0.4869 0.6737 0.7375
K 0.5131 0.3263 0.7375
K 0.6446 0.8929 0.1610
K 0.6918 0.5518 0.3665
K 0.8082 0.0518 0.6335
K 0.8554 0.3929 0.8390
K 0.9869 0.8263 0.2625
P 0.1616 0.2694 0.7015
P 0.3384 0.7694 0.2985
P 0.6616 0.2306 0.2985
P 0.8384 0.7306 0.7015
S 0.0608 0.1573 0.8344
S 0.0743 0.3785 0.5424
S 0.2083 0.6957 0.4397
S 0.2469 0.3657 0.9170
S 0.2531 0.8657 0.0830
S 0.2917 0.1957 0.5603
S 0.4257 0.8785 0.4576
S 0.4392 0.6573 0.1656
S 0.5608 0.3427 0.1656
S 0.5743 0.1215 0.4576
S 0.7083 0.8043 0.5603
S 0.7469 0.1343 0.0830
S 0.7531 0.6343 0.9170
S 0.7917 0.3043 0.4397
S 0.9257 0.6215 0.5424
S 0.9392 0.8427 0.8344
O 0.1765 0.9516 0.1999
O 0.3235 0.4516 0.8001
O 0.6765 0.5484 0.8001
O 0.8235 0.0484 0.1999

The 10 most intense peaks (10 to 90 degrees two-theta), in order of falling intensity:
2theta  I_rel
32.91  100.0
29.88  96.7
30.21  89.4
16.28  88.2
14.48  79.4
31.85  76.9
25.85  67.8
26.59  63.0
27.13  50.9
34.51  47.8